Diffraction record for CoSnTeO2. The powder XRD pattern is computed, not measured: it uses a crystal structure in Alexandria, relaxed with PBE+U and Cu Kα X-rays.

Crystal structure
Lattice parameters (Å, degrees): 4.0729 4.0729 5.0438 90.00 90.00 90.00
Atoms (fractional coordinates):
Co  0.0000  0.0000  0.0000
Sn  0.5000  0.5000  0.5000
Te  0.0000  0.0000  0.5000
O  0.0000  0.5000  0.0000
O  0.5000  0.0000  0.0000

Most intense lines, 10° ≤ 2θ ≤ 90°, low angle first:
| h k l | 2theta | I_rel |
| --- | --- | --- |
| 0 0 1 | 17.6 | 55.5 |
| 1 1 0 | 31.1 | 100.0 |
| 0 0 2 | 35.6 | 54.0 |
| 1 1 1 | 35.9 | 85.0 |
| 2 0 0 | 44.5 | 56.8 |
| 1 1 2 | 47.9 | 61.5 |
| 2 0 1 | 48.2 | 19.2 |
| 2 0 2 | 58.2 | 49.6 |
| 2 2 2 | 76.1 | 22.1 |
| 3 1 2 | 84.5 | 25.5 |